Entry 1:
# UMnAl
Computed PXRD pattern, Cu Ka. Input: DFT lattice parameters and positions (GGA-PBE).

Main lines, in order of rising 2θ (10 to 80 degrees two-theta):
Position (°2θ), I_rel, (hkl)
19.8, 51, 0 0 1
20.3, 78, 0 2 0
28.5, 40, 0 2 1
34.5, 42, 1 0 1
35.2, 85, 2 0 -1
36.8, 63, 1 3 0
37.0, 44, 1 3 -1
40.3, 68, 1 2 1
41.0, 100, 2 2 -1
41.7, 24, 0 1 2
66.2, 25, 3 2 0
68.0, 25, 0 5 2

```
data_UMnAl
_chemical_formula_sum 'U4 Mn4 Al4'
_space_group_name_H-M_alt 'P 1 m 1'
_space_group_IT_number 6
_space_group_name_Hall 'P -2y'
_cell_length_a 5.097
_cell_length_b 8.745
_cell_length_c 5.102
_cell_angle_alpha 90.00
_cell_angle_beta 118.65
_cell_angle_gamma 90.00
loop_
_atom_site_label
_atom_site_fract_x
_atom_site_fract_y
_atom_site_fract_z
U1 0.000 0.187 0.000
U2 0.690 0.279 0.308
Mn1 0.002 0.000 0.504
Mn2 0.344 0.251 0.654
Mn3 0.497 0.000 0.998
Al1 0.181 0.500 0.817
Al2 0.185 0.500 0.322
Al3 0.498 0.000 0.502
Al4 0.677 0.500 0.814
```

Entry 2:
# K2Dy4Cu4Se9
Computed PXRD pattern, Cu Ka. Input: DFT lattice parameters and positions (GGA-PBE).

Main lines, in order of rising 2θ (10 to 80 degrees two-theta):
Position (°2θ), I_rel, (hkl)
11.4, 50, 0 0 2
13.1, 100, 2 0 0
28.6, 86, 3 1 -1
29.1, 51, 3 1 -2
29.4, 36, 3 1 0
30.6, 45, 3 1 -3
31.2, 56, 3 1 1
34.0, 46, 3 1 2
35.5, 33, 2 0 5
42.4, 62, 6 0 1
44.0, 63, 0 2 0
44.8, 60, 3 1 -7

```
data_K2Dy4Cu4Se9
_chemical_formula_sum 'K4 Dy8 Cu8 Se18'
_space_group_name_H-M_alt 'C 1 2/m 1'
_space_group_IT_number 12
_space_group_name_Hall '-C 2y'
_cell_length_a 14.331
_cell_length_b 4.115
_cell_length_c 16.520
_cell_angle_alpha 90.00
_cell_angle_beta 109.37
_cell_angle_gamma 90.00
loop_
_atom_site_label
_atom_site_fract_x
_atom_site_fract_y
_atom_site_fract_z
K1 0.033 0.000 0.269
Dy1 0.155 0.500 0.556
Dy2 0.232 0.000 0.103
Cu1 0.076 0.500 0.971
Cu2 0.240 0.000 0.729
Se1 0.000 0.000 0.500
Se2 0.107 0.500 0.130
Se3 0.135 0.000 0.922
Se4 0.144 0.500 0.723
Se5 0.199 0.500 0.396
```

Entry 3:
# LiCu2F6
Computed PXRD pattern, Cu Ka. Input: DFT lattice parameters and positions (GGA-PBE).

Main lines, in order of rising 2θ (10 to 80 degrees two-theta):
Position (°2θ), I_rel, (hkl)
19.6, 22, 0 0 2
21.4, 60, 1 0 1
27.0, 100, 1 1 0
33.6, 20, 1 1 2
35.4, 42, 1 0 3
40.5, 28, 1 1 3
44.5, 15, 2 1 1
53.3, 66, 2 1 3
55.6, 21, 2 2 0
61.4, 11, 0 0 6
67.7, 27, 3 0 3
68.3, 12, 1 1 6

```
data_LiCu2F6
_chemical_formula_sum 'Li2 Cu4 F12'
_space_group_name_H-M_alt 'P 42/m n m'
_space_group_IT_number 136
_space_group_name_Hall '-P 4n 2n'
_cell_length_a 4.672
_cell_length_b 4.672
_cell_length_c 9.067
_cell_angle_alpha 90.00
_cell_angle_beta 90.00
_cell_angle_gamma 90.00
loop_
_atom_site_label
_atom_site_fract_x
_atom_site_fract_y
_atom_site_fract_z
Li1 0.000 0.000 0.000
Cu1 0.000 0.000 0.331
F1 0.190 0.190 0.500
F2 0.198 0.198 0.171
```